1.
Theoretical powder diffraction line list
Compound: NaHf2VF11
Radiation: copper Kα
Structure: a structure optimized by DFT (PBE+U)
Kinematic intensities with the Lorentz-polarization factor, no thermal factor.

Cell and atoms:
Cell lengths 9.249, 6.860, 7.817 Å; angles 90.00, 115.85, 90.00 degrees
Space group C2/m (No. 12)
Asymmetric unit:
Na 0.000 0.000 0.000 [2 per cell]
Hf 0.004 0.500 0.234 [4 per cell]
V 0.000 0.000 0.500 [2 per cell]
F 0.000 0.332 0.000 [4 per cell]
F 0.000 0.500 0.500 [2 per cell]
F 0.013 0.211 0.307 [8 per cell]
F 0.231 0.500 0.888 [4 per cell]
F 0.246 0.500 0.351 [4 per cell]

Largest 10 diffraction maxima, in order of rising 2θ, 2θ = 5–70°:
- (1 1 0), 2θ 16.75, rel. 100
- (2 0 0), 2θ 21.35, rel. 77
- (2 0 -2), 2θ 25.03, rel. 17
- (0 2 0), 2θ 25.98, rel. 38
- (1 1 -2), 2θ 26.24, rel. 75
- (3 1 -2), 2θ 33.86, rel. 31
- (4 0 0), 2θ 43.49, rel. 19
- (1 3 -2), 2θ 45.98, rel. 25
- (4 2 0), 2θ 51.37, rel. 26
- (3 1 2), 2θ 51.82, rel. 17

***

2.
Theoretical powder diffraction line list
Compound: HfVF6
Radiation: copper Kα
Structure: a structure optimized by DFT (PBE+U)
Kinematic intensities with the Lorentz-polarization factor, no thermal factor.

Cell and atoms:
Cell lengths 8.240, 8.240, 8.240 Å; angles 90.00, 90.00, 90.00 degrees
Space group Fm-3m (No. 225)
Asymmetric unit:
Hf 0.000 0.000 0.000 [4 per cell]
V 0.000 0.000 0.500 [4 per cell]
F 0.000 0.000 0.244 [24 per cell]

Largest 10 diffraction maxima, in order of rising 2θ, 2θ = 5–70°:
- (1 1 1), 2θ 18.65, rel. 42
- (2 0 0), 2θ 21.57, rel. 100
- (2 2 0), 2θ 30.69, rel. 39
- (3 1 1), 2θ 36.16, rel. 23
- (4 0 0), 2θ 43.95, rel. 24
- (3 3 1), 2θ 48.14, rel. 10
- (4 2 0), 2θ 49.47, rel. 41
- (4 2 2), 2θ 54.56, rel. 16
- (4 4 0), 2θ 63.91, rel. 14
- (6 0 0), 2θ 68.30, rel. 18

***

3.
Theoretical powder diffraction line list
Compound: K2VHgF6
Radiation: copper Kα
Structure: a structure optimized by DFT (PBE+U)
Kinematic intensities with the Lorentz-polarization factor, no thermal factor.

Cell and atoms:
Cell lengths 9.496, 9.496, 9.496 Å; angles 90.00, 90.00, 90.00 degrees
Space group Fm-3m (No. 225)
Asymmetric unit:
K 0.250 0.250 0.250 [8 per cell]
V 0.000 0.000 0.000 [4 per cell]
Hg 0.000 0.000 0.500 [4 per cell]
F 0.000 0.000 0.197 [24 per cell]

Largest 10 diffraction maxima, in order of rising 2θ, 2θ = 5–70°:
- (1 1 1), 2θ 16.17, rel. 23
- (2 0 0), 2θ 18.69, rel. 56
- (2 2 0), 2θ 26.55, rel. 100
- (3 1 1), 2θ 31.24, rel. 34
- (4 0 0), 2θ 37.90, rel. 35
- (3 3 1), 2θ 41.45, rel. 26
- (4 2 0), 2θ 42.58, rel. 21
- (4 2 2), 2θ 46.87, rel. 35
- (4 4 0), 2θ 54.68, rel. 20
- (6 2 0), 2θ 61.79, rel. 23

***

4.
Theoretical powder diffraction line list
Compound: Mn2Hg2SF6
Radiation: copper Kα
Structure: a structure optimized by DFT (PBE+U)
Kinematic intensities with the Lorentz-polarization factor, no thermal factor.

Cell and atoms:
Cell lengths 11.174, 11.174, 11.174 Å; angles 90.00, 90.00, 90.00 degrees
Space group Fd-3m (No. 227, origin choice 2)
Asymmetric unit:
Mn 0.000 0.000 0.000 [16 per cell]
Hg 0.000 0.000 0.500 [16 per cell]
S 0.125 0.125 0.625 [8 per cell]
F 0.076 0.375 0.375 [48 per cell]

Largest 10 diffraction maxima, in order of rising 2θ, 2θ = 5–70°:
- (1 1 1), 2θ 13.73, rel. 36
- (3 1 1), 2θ 26.46, rel. 16
- (2 2 2), 2θ 27.65, rel. 100
- (4 0 0), 2θ 32.04, rel. 29
- (3 3 1), 2θ 35.00, rel. 26
- (5 1 1), 2θ 42.02, rel. 11
- (4 4 0), 2θ 45.94, rel. 53
- (5 3 1), 2θ 48.18, rel. 12
- (6 2 2), 2θ 54.47, rel. 46
- (4 4 4), 2θ 57.11, rel. 10

***

5.
Theoretical powder diffraction line list
Compound: Rb2HgMoF6
Radiation: copper Kα
Structure: a structure optimized by DFT (PBE+U)
Kinematic intensities with the Lorentz-polarization factor, no thermal factor.

Cell and atoms:
Cell lengths 9.869, 9.869, 9.869 Å; angles 90.00, 90.00, 90.00 degrees
Space group Fm-3m (No. 225)
Asymmetric unit:
Rb 0.250 0.250 0.250 [8 per cell]
Hg 0.000 0.000 0.000 [4 per cell]
Mo 0.000 0.000 0.500 [4 per cell]
F 0.000 0.000 0.299 [24 per cell]

Largest 10 diffraction maxima, in order of rising 2θ, 2θ = 5–70°:
- (2 0 0), 2θ 17.98, rel. 17
- (2 2 0), 2θ 25.53, rel. 100
- (3 1 1), 2θ 30.03, rel. 8
- (4 0 0), 2θ 36.42, rel. 32
- (3 3 1), 2θ 39.81, rel. 7
- (4 2 0), 2θ 40.89, rel. 6
- (4 2 2), 2θ 45.00, rel. 39
- (4 4 0), 2θ 52.45, rel. 19
- (6 2 0), 2θ 59.21, rel. 23
- (4 4 4), 2θ 65.53, rel. 6

***

6.
Theoretical powder diffraction line list
Compound: Na2NiHgF6
Radiation: copper Kα
Structure: a structure optimized by DFT (PBE+U)
Kinematic intensities with the Lorentz-polarization factor, no thermal factor.

Cell and atoms:
Cell lengths 8.542, 8.542, 8.542 Å; angles 90.00, 90.00, 90.00 degrees
Space group Fm-3m (No. 225)
Asymmetric unit:
Na 0.250 0.250 0.250 [8 per cell]
Ni 0.000 0.000 0.000 [4 per cell]
Hg 0.000 0.000 0.500 [4 per cell]
F 0.000 0.000 0.233 [24 per cell]

Largest 10 diffraction maxima, in order of rising 2θ, 2θ = 5–70°:
- (1 1 1), 2θ 17.99, rel. 38
- (2 0 0), 2θ 20.80, rel. 100
- (2 2 0), 2θ 29.58, rel. 97
- (3 1 1), 2θ 34.83, rel. 32
- (4 0 0), 2θ 42.32, rel. 43
- (3 3 1), 2θ 46.33, rel. 18
- (4 2 0), 2θ 47.61, rel. 44
- (4 2 2), 2θ 52.48, rel. 39
- (4 4 0), 2θ 61.40, rel. 26
- (6 0 0), 2θ 65.57, rel. 20

***

7.
Theoretical powder diffraction line list
Compound: Ni2Hg2OF6
Radiation: copper Kα
Structure: a structure optimized by DFT (PBE+U)
Kinematic intensities with the Lorentz-polarization factor, no thermal factor.

Cell and atoms:
Cell lengths 10.516, 10.516, 10.516 Å; angles 90.00, 90.00, 90.00 degrees
Space group Fd-3m (No. 227, origin choice 2)
Asymmetric unit:
Ni 0.000 0.000 0.000 [16 per cell]
Hg 0.000 0.000 0.500 [16 per cell]
O 0.125 0.125 0.625 [8 per cell]
F 0.073 0.375 0.375 [48 per cell]

Largest 10 diffraction maxima, in order of rising 2θ, 2θ = 5–70°:
- (1 1 1), 2θ 14.59, rel. 24
- (3 1 1), 2θ 28.14, rel. 16
- (2 2 2), 2θ 29.42, rel. 100
- (4 0 0), 2θ 34.10, rel. 33
- (3 3 1), 2θ 37.27, rel. 19
- (5 1 1), 2θ 44.78, rel. 10
- (4 4 0), 2θ 49.00, rel. 47
- (5 3 1), 2θ 51.41, rel. 8
- (6 2 2), 2θ 58.19, rel. 44
- (4 4 4), 2θ 61.05, rel. 11